The following is a theoretical X-ray diffraction stick pattern of Pa5Si. It was derived from a GGA-PBE-relaxed structure, using Cu Kα.
Neutral-atom scattering factors, no anomalous dispersion.

Structural model:
```
Pa5Si
1.0
2.278 -6.837 0.000
2.278 6.837 0.000
0.000 0.000 4.405
Pa Si
5 1
Cartesian
0.000 0.000 0.000 Pa
2.278 4.661 2.203 Pa
2.278 2.170 0.000 Pa
2.278 -2.170 0.000 Pa
2.278 -4.661 2.203 Pa
2.278 0.000 2.203 Si
```

Main lines, low angle first (10 to 90 degrees two-theta):
two_theta, d (Å), intensity
20.54, 4.323, 5
28.94, 3.086, 7
34.48, 2.601, 100
39.55, 2.279, 34
40.98, 2.203, 16
57.17, 1.611, 12
58.26, 1.584, 23
68.50, 1.370, 27
70.47, 1.336, 13
72.71, 1.300, 11

***

The following is a theoretical X-ray diffraction stick pattern of Li2ScAl9. It was derived from a GGA-PBE-relaxed structure, using Cu Kα.
Neutral-atom scattering factors, no anomalous dispersion.

Structural model:
```
Li2ScAl9
1.0
4.033 0.000 0.000
0.000 4.033 0.000
0.000 0.000 12.294
Li Sc Al
2 1 9
Cartesian
0.000 0.000 2.042 Li
0.000 0.000 10.252 Li
0.000 0.000 6.147 Sc
0.000 2.017 0.000 Al
0.000 2.017 4.028 Al
0.000 2.017 8.266 Al
2.017 0.000 0.000 Al
2.017 0.000 4.028 Al
2.017 0.000 8.266 Al
2.017 2.017 2.029 Al
2.017 2.017 6.147 Al
2.017 2.017 10.266 Al
```

Main lines, low angle first (10 to 90 degrees two-theta):
two_theta, d (Å), intensity
23.21, 3.832, 7
26.43, 3.372, 5
38.45, 2.341, 100
44.20, 2.049, 16
44.95, 2.017, 32
64.87, 1.437, 21
65.45, 1.426, 10
77.47, 1.232, 12
78.55, 1.218, 23
82.39, 1.170, 10